(1)
The following is a calculated powder XRD pattern of KThGeN3. It was derived from the GGA-PBE geometry in Alexandria, using Cu Kα (λ = 1.5418 Å).
No peak broadening, texture or thermal motion is included.

Crystal structure
abc: 8.1116 3.6534 8.4352
angles: 90.00 98.80 90.00
Space group P2_1/m (No. 11)
Symmetry-distinct sites (fractional):
K 0.1622 0.2500 0.1741
Th 0.3761 0.7500 0.8440
Ge 0.0886 0.2500 0.6084
N 0.1301 0.7500 0.5119
N 0.1630 0.2500 0.8191
N 0.4382 0.7500 0.1144

Top 10 peaks for 10 to 80 degrees two-theta, sorted by position:
10.61 deg, I = 18, (0 0 1)
14.11 deg, I = 100, (1 0 -1)
26.64 deg, I = 14, (0 1 1)
28.43 deg, I = 24, (2 0 -2)
29.55 deg, I = 26, (1 1 1)
32.22 deg, I = 12, (0 0 3)
32.59 deg, I = 29, (0 1 2)
33.18 deg, I = 38, (2 1 0)
33.32 deg, I = 14, (2 0 2)
41.94 deg, I = 14, (3 1 -1)


(2)
The following is a calculated powder XRD pattern of Ca2GeP2. It was derived from the GGA-PBE geometry in Alexandria, using Cu Kα (λ = 1.5418 Å).
No peak broadening, texture or thermal motion is included.

Crystal structure
abc: 3.8421 19.0229 6.2308
angles: 90.00 90.00 90.00
Space group Cmc2_1 (No. 36)
Symmetry-distinct sites (fractional):
Ca 0.0000 0.0358 0.0000
Ca 0.0000 0.1950 0.2986
Ge 0.0000 0.3886 0.1932
P 0.0000 0.1875 0.7832
P 0.0000 0.4198 0.8222

Top 10 peaks for 10 to 80 degrees two-theta, sorted by position:
17.01 deg, I = 33, (0 2 1)
27.68 deg, I = 23, (1 1 1)
30.76 deg, I = 36, (1 3 1)
31.66 deg, I = 31, (0 6 1)
33.14 deg, I = 100, (1 5 0)
34.41 deg, I = 22, (0 4 2)
37.46 deg, I = 30, (1 1 2)
39.87 deg, I = 24, (1 3 2)
44.37 deg, I = 31, (1 5 2)
47.32 deg, I = 25, (2 0 0)


(3)
The following is a calculated powder XRD pattern of Ce2Si4NiRh3. It was derived from the GGA-PBE geometry in Alexandria, using Cu Kα (λ = 1.5418 Å).
No peak broadening, texture or thermal motion is included.

Crystal structure
abc: 4.1276 4.1276 9.8614
angles: 90.00 90.00 90.00
Space group P-4m2 (No. 115)
Symmetry-distinct sites (fractional):
Ce 0.0000 0.5000 0.2477
Si 0.0000 0.0000 0.0000
Si 0.0000 0.5000 0.6265
Si 0.5000 0.5000 0.0000
Ni 0.0000 0.0000 0.5000
Rh 0.0000 0.5000 0.8719
Rh 0.5000 0.5000 0.5000

Top 10 peaks for 10 to 80 degrees two-theta, sorted by position:
30.63 deg, I = 29, (1 1 0)
31.98 deg, I = 25, (1 1 1)
34.89 deg, I = 85, (1 0 3)
35.75 deg, I = 100, (1 1 2)
43.87 deg, I = 63, (2 0 0)
51.34 deg, I = 31, (1 0 5)
57.24 deg, I = 40, (2 1 3)
63.78 deg, I = 20, (2 2 0)
69.78 deg, I = 25, (2 1 5)
75.32 deg, I = 22, (3 1 2)


(4)
The following is a calculated powder XRD pattern of NiTeSe2. It was derived from the GGA-PBE geometry in Alexandria, using Cu Kα (λ = 1.5418 Å).
No peak broadening, texture or thermal motion is included.

Crystal structure
abc: 3.7404 6.1099 7.6441
angles: 90.00 97.08 90.00
Space group P2_1 (No. 4)
Symmetry-distinct sites (fractional):
Ni 0.2206 0.0000 0.3539
Te 0.0113 0.3467 0.1902
Se 0.2571 0.6321 0.4696
Se 0.2957 0.4091 0.8577

Top 10 peaks for 10 to 80 degrees two-theta, sorted by position:
18.65 deg, I = 20, (0 1 1)
23.97 deg, I = 20, (1 0 0)
31.58 deg, I = 100, (1 0 -2)
31.70 deg, I = 76, (1 1 1)
34.91 deg, I = 29, (1 1 -2)
35.50 deg, I = 22, (0 0 3)
37.81 deg, I = 31, (0 2 2)
48.34 deg, I = 19, (1 1 3)
51.45 deg, I = 19, (2 1 -1)
51.91 deg, I = 19, (1 3 -1)


(5)
The following is a calculated powder XRD pattern of La3Nd2Y5. It was derived from the GGA-PBE geometry in Alexandria, using Cu Kα (λ = 1.5418 Å).
No peak broadening, texture or thermal motion is included.

Crystal structure
abc: 10.8046 17.0602 9.2146
angles: 90.00 125.79 90.00
Space group C2/c (No. 15)
Symmetry-distinct sites (fractional):
La 0.0000 0.2294 0.2500
La 0.1482 0.1255 0.0495
Nd 0.1445 0.3798 0.5370
Y 0.0000 0.0261 0.2500
Y 0.0000 0.2754 0.7500
Y 0.0000 0.4699 0.7500
Y 0.2465 0.3842 0.2403

Top 10 peaks for 10 to 80 degrees two-theta, sorted by position:
20.83 deg, I = 18, (0 4 0)
29.23 deg, I = 81, (2 4 -2)
30.93 deg, I = 100, (2 2 1)
31.84 deg, I = 30, (0 4 2)
33.17 deg, I = 45, (4 0 -2)
35.68 deg, I = 28, (2 6 -1)
46.63 deg, I = 21, (4 4 0)
48.59 deg, I = 18, (0 6 3)
60.09 deg, I = 19, (4 6 1)
62.24 deg, I = 22, (2 10 1)


(6)
The following is a calculated powder XRD pattern of Pm7Nd4Ho. It was derived from the GGA-PBE geometry in Alexandria, using Cu Kα (λ = 1.5418 Å).
No peak broadening, texture or thermal motion is included.

Crystal structure
abc: 6.3611 7.3518 9.1059
angles: 89.94 76.48 89.99
Space group P-1 (No. 2)
Symmetry-distinct sites (fractional):
Pm 0.0000 0.0000 0.0000
Pm 0.2213 0.5002 0.3319
Pm 0.2773 0.2514 0.6700
Pm 0.4998 0.2516 0.9997
Nd 0.2239 0.9998 0.3322
Nd 0.2775 0.7484 0.6698
Ho 0.0000 0.5000 0.0000

Top 10 peaks for 10 to 80 degrees two-theta, sorted by position:
28.25 deg, I = 36, (1 -2 0)
30.29 deg, I = 49, (0 0 3)
31.17 deg, I = 100, (2 0 2)
32.78 deg, I = 28, (1 2 2)
32.82 deg, I = 56, (2 0 -1)
49.62 deg, I = 38, (3 2 1)
53.28 deg, I = 23, (2 0 5)
56.47 deg, I = 17, (2 0 -4)
59.24 deg, I = 37, (3 2 4)
59.77 deg, I = 16, (2 4 2)


(7)
The following is a calculated powder XRD pattern of Be2AlCo. It was derived from the GGA-PBE geometry in Alexandria, using Cu Kα (λ = 1.5418 Å).
No peak broadening, texture or thermal motion is included.

Crystal structure
abc: 3.3611 3.3611 7.1183
angles: 90.00 90.00 90.00
Space group I4/mmm (No. 139)
Symmetry-distinct sites (fractional):
Be 0.0000 0.5000 0.2500
Al 0.0000 0.0000 0.0000
Co 0.0000 0.0000 0.5000

Top 10 peaks for 10 to 80 degrees two-theta, sorted by position:
25.02 deg, I = 77, (0 0 2)
29.39 deg, I = 43, (1 0 1)
37.86 deg, I = 52, (1 1 0)
45.91 deg, I = 100, (1 1 2)
46.87 deg, I = 11, (1 0 3)
51.34 deg, I = 18, (0 0 4)
54.61 deg, I = 29, (2 0 0)
60.97 deg, I = 24, (2 0 2)
65.53 deg, I = 19, (1 1 4)
78.24 deg, I = 19, (2 0 4)


(8)
The following is a calculated powder XRD pattern of Sr3H4O4. It was derived from the GGA-PBE geometry in Alexandria, using Cu Kα (λ = 1.5418 Å).
No peak broadening, texture or thermal motion is included.

Crystal structure
abc: 3.5291 3.9192 12.9131
angles: 89.20 82.30 90.00
Space group P-1 (No. 2)
Symmetry-distinct sites (fractional):
Sr 0.0000 0.0000 0.0000
Sr 0.1473 0.9626 0.6989
H 0.2992 0.5385 0.4102
H 0.4344 0.3268 0.1342
O 0.3373 0.5414 0.3327
O 0.4290 0.0749 0.1452

Top 10 peaks for 10 to 80 degrees two-theta, sorted by position:
13.84 deg, I = 30, (0 0 2)
20.83 deg, I = 100, (0 0 3)
22.69 deg, I = 95, (0 1 0)
25.48 deg, I = 42, (1 0 0)
30.77 deg, I = 36, (0 1 3)
34.39 deg, I = 69, (1 1 0)
35.30 deg, I = 37, (1 0 -3)
35.40 deg, I = 36, (1 0 4)
42.22 deg, I = 42, (-1 1 3)
42.62 deg, I = 54, (1 1 -3)


(9)
The following is a calculated powder XRD pattern of V8Ga. It was derived from the GGA-PBE geometry in Alexandria, using Cu Kα (λ = 1.5418 Å).
No peak broadening, texture or thermal motion is included.

Crystal structure
abc: 4.2720 8.9551 12.7692
angles: 90.00 90.00 90.00
Space group Fmmm (No. 69)
Symmetry-distinct sites (fractional):
V 0.0000 0.0000 0.1634
V 0.0000 0.1673 0.3299
V 0.0000 0.1773 0.0000
Ga 0.0000 0.0000 0.5000

Top 10 peaks for 10 to 80 degrees two-theta, sorted by position:
24.11 deg, I = 1, (1 1 1)
42.31 deg, I = 26, (2 0 0)
42.47 deg, I = 26, (0 0 6)
42.62 deg, I = 100, (1 3 3)
61.51 deg, I = 15, (2 0 6)
62.20 deg, I = 7, (0 6 0)
77.60 deg, I = 15, (3 3 3)
77.82 deg, I = 14, (1 3 9)
78.12 deg, I = 7, (2 6 0)
78.23 deg, I = 7, (0 6 6)


(10)
The following is a calculated powder XRD pattern of SrCrPd. It was derived from the GGA-PBE geometry in Alexandria, using Cu Kα (λ = 1.5418 Å).
No peak broadening, texture or thermal motion is included.

Crystal structure
abc: 4.4302 4.4302 15.2305
angles: 90.00 90.00 90.00
Space group I-4m2 (No. 119)
Symmetry-distinct sites (fractional):
Sr 0.0000 0.0000 0.0000
Sr 0.0000 0.5000 0.2500
Cr 0.0000 0.5000 0.6760
Pd 0.0000 0.0000 0.4117

Top 10 peaks for 10 to 80 degrees two-theta, sorted by position:
20.88 deg, I = 22, (1 0 1)
26.71 deg, I = 21, (1 0 3)
30.87 deg, I = 100, (1 1 2)
35.77 deg, I = 65, (1 0 5)
40.73 deg, I = 51, (2 0 0)
46.50 deg, I = 27, (1 0 7)
55.31 deg, I = 36, (2 1 5)
58.97 deg, I = 16, (2 2 0)
63.51 deg, I = 21, (2 1 7)
68.05 deg, I = 19, (3 1 2)


(11)
The following is a calculated powder XRD pattern of Nd2HfSi3Ir4. It was derived from the GGA-PBE geometry in Alexandria, using Cu Kα (λ = 1.5418 Å).
No peak broadening, texture or thermal motion is included.

Crystal structure
abc: 4.1495 4.1495 10.6859
angles: 90.00 90.00 90.00
Space group P-4m2 (No. 115)
Symmetry-distinct sites (fractional):
Nd 0.0000 0.5000 0.2361
Hf 0.0000 0.0000 0.5000
Si 0.0000 0.5000 0.8784
Si 0.5000 0.5000 0.5000
Ir 0.0000 0.0000 0.0000
Ir 0.0000 0.5000 0.6487
Ir 0.5000 0.5000 0.0000

Top 10 peaks for 10 to 80 degrees two-theta, sorted by position:
27.21 deg, I = 29, (1 0 2)
31.62 deg, I = 15, (1 1 1)
33.15 deg, I = 27, (1 0 3)
34.89 deg, I = 100, (1 1 2)
43.63 deg, I = 48, (2 0 0)
45.94 deg, I = 23, (1 1 4)
47.88 deg, I = 21, (1 0 5)
63.40 deg, I = 16, (2 2 0)
66.76 deg, I = 15, (2 1 5)
74.45 deg, I = 22, (3 1 2)


(12)
The following is a calculated powder XRD pattern of Li3B2SbO6. It was derived from the GGA-PBE geometry in Alexandria, using Cu Kα (λ = 1.5418 Å).
No peak broadening, texture or thermal motion is included.

Crystal structure
abc: 4.9194 7.6997 8.4115
angles: 63.09 85.71 85.58
Space group P-1 (No. 2)
Symmetry-distinct sites (fractional):
Li 0.1947 0.2600 0.1433
Li 0.2052 0.5399 0.7671
Li 0.3016 0.4225 0.4354
B 0.1852 0.8117 0.4040
B 0.3200 0.6294 0.0611
Sb 0.2989 0.0218 0.8312
O 0.1042 0.1683 0.6001
O 0.1852 0.4830 0.1934
O 0.2002 0.7441 0.8866
O 0.3084 0.6428 0.5136
O 0.3248 0.9803 0.2842
O 0.4304 0.3098 0.9267

Top 10 peaks for 10 to 80 degrees two-theta, sorted by position:
11.81 deg, I = 34, (0 0 1)
12.94 deg, I = 100, (0 1 0)
21.33 deg, I = 30, (0 1 2)
22.12 deg, I = 32, (1 0 -1)
23.29 deg, I = 30, (-1 1 1)
26.18 deg, I = 23, (0 2 2)
26.95 deg, I = 27, (1 1 2)
27.90 deg, I = 19, (1 1 -1)
30.66 deg, I = 22, (1 0 -2)
36.72 deg, I = 34, (1 -1 2)


(13)
The following is a calculated powder XRD pattern of PmGaAu3. It was derived from the GGA-PBE geometry in Alexandria, using Cu Kα (λ = 1.5418 Å).
No peak broadening, texture or thermal motion is included.

Crystal structure
abc: 4.4298 24.4975 4.0640
angles: 90.00 90.00 90.00
Space group Cmmm (No. 65)
Symmetry-distinct sites (fractional):
Pm 0.0000 0.1672 0.0000
Ga 0.0000 0.3839 0.5000
Au 0.0000 0.0584 0.5000
Au 0.0000 0.2820 0.5000
Au 0.0000 0.4444 0.0000

Top 10 peaks for 10 to 80 degrees two-theta, sorted by position:
29.16 deg, I = 21, (0 8 0)
30.06 deg, I = 20, (1 1 1)
31.05 deg, I = 15, (0 6 1)
31.83 deg, I = 100, (1 3 1)
35.12 deg, I = 22, (1 5 1)
38.83 deg, I = 20, (1 9 0)
40.74 deg, I = 36, (2 0 0)
44.59 deg, I = 28, (0 0 2)
45.01 deg, I = 42, (1 9 1)
61.98 deg, I = 21, (2 0 2)